Structure and calculated powder X-ray diffraction pattern of CeNd6Dy10 (a structure optimized by DFT (GGA-PBE); Cu Kα X-rays).
No peak broadening, texture or thermal motion is included.

Crystal structure
```
data_CeNd6Dy10
_symmetry_space_group_name_H-M 'P -3 1 m'
_symmetry_Int_Tables_number 162
_symmetry_space_group_name_Hall '-P 3 2'
_cell_length_a 9.7221
_cell_length_b 9.7221
_cell_length_c 6.9227
_cell_angle_alpha 90.00
_cell_angle_beta 90.00
_cell_angle_gamma 120.00
loop_
_atom_site_label
_atom_site_type_symbol
_atom_site_fract_x
_atom_site_fract_y
_atom_site_fract_z
_atom_site_occupancy
Ce1 Ce 0.0000 0.0000 0.0000 1
Nd1 Nd 0.0000 0.3797 0.7986 1
Dy1 Dy 0.0000 0.2705 0.3165 1
Dy2 Dy 0.3333 0.6667 0.0000 1
Dy3 Dy 0.3333 0.6667 0.5000 1
```

Peak list (10 most intense, 15 to 90 degrees two-theta, most intense first)
- d 2.820, I 100, hkl 1 1 2
- d 2.807, I 72, hkl 3 0 0
- d 2.891, I 52, hkl 3 -1 1
- d 1.989, I 24, hkl 4 -2 2
- d 1.622, I 19, hkl 4 1 2
- d 1.630, I 16, hkl 2 -1 4
- d 1.861, I 14, hkl 3 2 1
- d 2.213, I 12, hkl 4 -1 1
- d 1.477, I 11, hkl 6 -1 1
- d 1.641, I 9, hkl 4 -1 3